For Sr5SbSe8, DFT lattice parameters and positions (GGA-PBE) gives the theoretical powder diffraction line list in this record (Cu Kα, 1.54184 Å).
Intensities are scaled so that the largest is 100.

Atomic structure:
a = 9.063 Å, b = 9.063 Å, c = 9.634 Å
α = 90.00°, β = 90.00°, γ = 90.00°
Space group I-4 (No. 82)
Asymmetric unit:
Sr (0.000, 0.000, 0.000) (multiplicity 2)
Sr (0.126, 0.742, 0.379) (multiplicity 8)
Sb (0.000, 0.500, 0.750) (multiplicity 2)
Se (0.068, 0.809, 0.705) (multiplicity 8)
Se (0.093, 0.675, 0.057) (multiplicity 8)

Peak list (6 most intense, 2θ from 10° to 90°, in order of falling intensity)
hkl 1 0 3, 29.51 deg, intensity 100
hkl 3 1 0, 31.21 deg, intensity 85
hkl 3 0 1, 31.03 deg, intensity 84
hkl 1 3 2, 36.48 deg, intensity 66
hkl 2 1 3, 35.67 deg, intensity 63
hkl 2 3 1, 36.96 deg, intensity 47